LiReNi2: computed XRD peak list (Cu Ka), based on a cell relaxed with PBE.
Lines closer than 0.1° are merged.

Main lines, in order of rising 2θ (2θ = 15–90°):
hkl, two_theta, I_rel
1 1 1, 27.30, 45.1
2 0 0, 31.63, 42.3
2 2 0, 45.34, 100.0
3 1 1, 53.74, 21.8
2 2 2, 56.33, 11.2
4 0 0, 66.06, 15.8
3 3 1, 72.88, 9.1
4 2 0, 75.09, 14.6
4 2 2, 83.76, 32.5

Atomic structure:
```
data_LiReNi2
_chemical_formula_sum 'Li4 Re4 Ni8'
_space_group_name_H-M_alt 'F -4 3 m'
_space_group_IT_number 216
_space_group_name_Hall 'F -4 2 3'
_cell_length_a 5.6576
_cell_length_b 5.6576
_cell_length_c 5.6576
_cell_angle_alpha 90.00
_cell_angle_beta 90.00
_cell_angle_gamma 90.00
loop_
_atom_site_label
_atom_site_type_symbol
_atom_site_fract_x
_atom_site_fract_y
_atom_site_fract_z
Li1 Li 0.0000 0.0000 0.0000
Re1 Re 0.2500 0.2500 0.2500
Ni1 Ni 0.0000 0.0000 0.5000
Ni2 Ni 0.2500 0.2500 0.7500
```

TlCd5: computed XRD peak list (Cu Ka), based on a cell relaxed with PBE.
Lines closer than 0.1° are merged.

Main lines, in order of rising 2θ (2θ = 15–90°):
hkl, two_theta, I_rel
2 0 0, 28.69, 30.3
0 1 4, 30.55, 76.4
2 1 1, 32.00, 98.4
0 2 3, 32.16, 82.7
0 3 1, 37.31, 100.0
2 2 0, 37.86, 75.4
2 2 1, 38.54, 38.8
0 3 2, 39.34, 28.8
2 0 4, 40.50, 45.0
2 1 4, 42.40, 70.0

Atomic structure:
```
data_TlCd5
_chemical_formula_sum 'Tl4 Cd20'
_space_group_name_H-M_alt 'P m c 21'
_space_group_IT_number 26
_cell_length_a 6.2239
_cell_length_b 7.3608
_cell_length_c 12.7586
_cell_angle_alpha 90.00
_cell_angle_beta 90.00
_cell_angle_gamma 90.00
loop_
_space_group_symop_operation_xyz
'x,y,z'
'-x,-y,z+1/2'
'-x,y,z'
'x,-y,z+1/2'
loop_
_atom_site_label
_atom_site_type_symbol
_atom_site_fract_x
_atom_site_fract_y
_atom_site_fract_z
Tl1 Tl 0.0000 0.0911 0.0000
Tl2 Tl 0.5000 0.1454 0.7184
Cd1 Cd 0.0000 0.1434 0.7299
Cd2 Cd 0.0000 0.4373 0.1467
Cd3 Cd 0.0000 0.4546 0.8770
Cd4 Cd 0.2477 0.1993 0.2955
Cd5 Cd 0.2501 0.2936 0.5261
Cd6 Cd 0.5000 0.0523 0.9665
Cd7 Cd 0.5000 0.3728 0.1190
Cd8 Cd 0.5000 0.4444 0.8808
```

KNaB2Pt6: computed XRD peak list (Cu Ka), based on a cell relaxed with PBE.
Lines closer than 0.1° are merged.

Main lines, in order of rising 2θ (2θ = 15–90°):
hkl, two_theta, I_rel
1 0 0, 18.04, 41.4
0 0 2, 32.09, 36.4
2 0 0, 36.55, 100.0
1 0 2, 37.05, 25.4
1 1 2, 45.60, 15.6
2 0 2, 49.42, 70.1
2 2 0, 65.80, 18.8
2 2 2, 75.10, 20.1
2 0 4, 78.92, 21.0
4 0 2, 86.53, 15.0

Atomic structure:
```
data_KNaB2Pt6
_chemical_formula_sum 'K1 Na1 B2 Pt6'
_space_group_name_H-M_alt 'P 6/m m m'
_space_group_IT_number 191
_space_group_name_Hall '-P 6 2'
_cell_length_a 5.6771
_cell_length_b 5.6771
_cell_length_c 5.5788
_cell_angle_alpha 90.00
_cell_angle_beta 90.00
_cell_angle_gamma 120.00
loop_
_atom_site_label
_atom_site_type_symbol
_atom_site_fract_x
_atom_site_fract_y
_atom_site_fract_z
K1 K 0.0000 0.0000 0.0000
Na1 Na 0.0000 0.0000 0.5000
B1 B 0.3333 0.6667 0.0000
Pt1 Pt 0.0000 0.5000 0.2583
```

Cs2RbSb2Au3: computed XRD peak list (Cu Ka), based on a cell relaxed with PBE.
Lines closer than 0.1° are merged.

Main lines, in order of rising 2θ (2θ = 15–90°):
hkl, two_theta, I_rel
0 1 5, 25.19, 81.5
1 1 0, 26.50, 43.3
0 2 1, 30.96, 100.0
2 0 2, 31.75, 56.6
1 0 7, 32.10, 44.6
0 2 4, 34.77, 87.2
1 1 6, 36.06, 93.3
2 0 8, 45.09, 41.8
2 2 0, 54.56, 52.8
2 2 12, 76.49, 39.6

Atomic structure:
```
data_Cs2RbSb2Au3
_chemical_formula_sum 'Cs6 Rb3 Sb6 Au9'
_space_group_name_H-M_alt 'R -3 m'
_space_group_IT_number 166
_space_group_name_Hall '-R 3 2"'
_cell_length_a 6.7280
_cell_length_b 6.7280
_cell_length_c 22.2326
_cell_angle_alpha 90.00
_cell_angle_beta 90.00
_cell_angle_gamma 120.00
loop_
_atom_site_label
_atom_site_type_symbol
_atom_site_fract_x
_atom_site_fract_y
_atom_site_fract_z
Cs1 Cs 0.0000 0.0000 0.0830
Rb1 Rb 0.0000 0.0000 0.5000
Sb1 Sb 0.0000 0.0000 0.2500
Au1 Au 0.0000 0.5000 0.0000
```

AsPt17: computed XRD peak list (Cu Ka), based on a cell relaxed with PBE.
Lines closer than 0.1° are merged.

Main lines, in order of rising 2θ (2θ = 15–90°):
hkl, two_theta, I_rel
0 0 13, 37.84, 42.2
2 0 4, 39.39, 100.0
2 0 5, 40.39, 78.7
0 0 14, 40.88, 19.5
0 2 8, 44.51, 28.3
0 2 9, 46.22, 82.2
2 0 18, 67.07, 25.7
2 2 0, 67.80, 37.2
2 2 13, 80.33, 29.6
2 2 14, 82.28, 22.0

Atomic structure:
```
data_AsPt17
_chemical_formula_sum 'As2 Pt34'
_space_group_name_H-M_alt 'P -3'
_space_group_IT_number 147
_cell_length_a 5.5304
_cell_length_b 5.5304
_cell_length_c 30.9065
_cell_angle_alpha 90.00
_cell_angle_beta 90.00
_cell_angle_gamma 120.00
loop_
_space_group_symop_operation_xyz
'x,y,z'
'-x,-y,-z'
'-y,x-y,z'
'y,-x+y,-z'
'-x+y,-x,z'
'x-y,x,-z'
loop_
_atom_site_label
_atom_site_type_symbol
_atom_site_fract_x
_atom_site_fract_y
_atom_site_fract_z
As1 As 0.3333 0.6667 0.2962
Pt1 Pt 0.0000 0.0000 0.0000
Pt2 Pt 0.0000 0.0000 0.2253
Pt3 Pt 0.0000 0.5000 0.0000
Pt4 Pt 0.0003 0.5003 0.2254
Pt5 Pt 0.1639 0.8326 0.6987
Pt6 Pt 0.1661 0.8333 0.9252
Pt7 Pt 0.1669 0.3335 0.1500
Pt8 Pt 0.3333 0.6667 0.0745
Pt9 Pt 0.3333 0.6667 0.8508
```

RbCuSiTeSe2: computed XRD peak list (Cu Ka), based on a cell relaxed with PBE.
Lines closer than 0.1° are merged.

Main lines, in order of rising 2θ (2θ = 15–90°):
hkl, two_theta, I_rel
0 0 2, 16.46, 15.9
0 2 3, 27.16, 15.9
0 4 2, 27.55, 31.3
1 1 2, 29.99, 21.0
1 3 1, 30.62, 100.0
0 0 4, 33.24, 49.9
1 3 5, 52.07, 39.4
1 7 3, 53.31, 22.1
2 0 4, 61.13, 16.5
2 10 2, 81.21, 16.8

Atomic structure:
```
data_RbCuSiTeSe2
_chemical_formula_sum 'Rb4 Cu4 Si4 Te4 Se8'
_space_group_name_H-M_alt 'C m c m'
_space_group_IT_number 63
_space_group_name_Hall '-C 2c 2'
_cell_length_a 3.6667
_cell_length_b 16.2015
_cell_length_c 10.7723
_cell_angle_alpha 90.00
_cell_angle_beta 90.00
_cell_angle_gamma 90.00
loop_
_atom_site_label
_atom_site_type_symbol
_atom_site_fract_x
_atom_site_fract_y
_atom_site_fract_z
Rb1 Rb 0.0000 0.2433 0.2500
Cu1 Cu 0.0000 0.4432 0.7500
Si1 Si 0.0000 0.0000 0.0000
Te1 Te 0.0000 0.0582 0.7500
Se1 Se 0.0000 0.3926 0.5428
```

SmCu3Se2S2: computed XRD peak list (Cu Ka), based on a cell relaxed with PBE.
Lines closer than 0.1° are merged.

Main lines, in order of rising 2θ (2θ = 15–90°):
hkl, two_theta, I_rel
0 2 0, 21.20, 15.4
0 2 2, 27.08, 68.9
2 0 2, 28.18, 100.0
2 2 2, 35.53, 22.6
0 4 0, 43.18, 22.9
4 0 0, 46.08, 19.0
2 2 4, 46.53, 59.0
2 4 2, 52.36, 32.5
4 2 2, 54.27, 18.2
0 2 6, 56.30, 12.3

Atomic structure:
```
data_SmCu3Se2S2
_chemical_formula_sum 'Sm4 Cu12 Se8 S8'
_space_group_name_H-M_alt 'F m m 2'
_space_group_IT_number 42
_space_group_name_Hall 'F 2 -2'
_cell_length_a 7.8787
_cell_length_b 8.3811
_cell_length_c 10.6478
_cell_angle_alpha 90.00
_cell_angle_beta 90.00
_cell_angle_gamma 90.00
loop_
_atom_site_label
_atom_site_type_symbol
_atom_site_fract_x
_atom_site_fract_y
_atom_site_fract_z
Sm1 Sm 0.0000 0.0000 0.0000
Cu1 Cu 0.0000 0.0000 0.4747
Cu2 Cu 0.2500 0.2500 0.2079
Se1 Se 0.2271 0.0000 0.3236
S1 S 0.0000 0.2106 0.6063
```

BaSrHg6: computed XRD peak list (Cu Ka), based on a cell relaxed with PBE.
Lines closer than 0.1° are merged.

Main lines, in order of rising 2θ (2θ = 15–90°):
hkl, two_theta, I_rel
2 0 0, 29.45, 24.1
0 0 2, 33.46, 23.7
2 0 1, 33.97, 100.0
2 0 2, 45.16, 15.3
2 2 0, 52.24, 18.9
2 0 3, 60.13, 19.7
2 2 2, 63.47, 21.3
4 0 1, 63.79, 15.2
4 0 3, 83.66, 7.5
4 2 1, 86.90, 13.0

Atomic structure:
```
data_BaSrHg6
_chemical_formula_sum 'Ba1 Sr1 Hg6'
_space_group_name_H-M_alt 'P -6 m 2'
_space_group_IT_number 187
_space_group_name_Hall 'P -6 2'
_cell_length_a 7.0043
_cell_length_b 7.0043
_cell_length_c 5.3569
_cell_angle_alpha 90.00
_cell_angle_beta 90.00
_cell_angle_gamma 120.00
loop_
_atom_site_label
_atom_site_type_symbol
_atom_site_fract_x
_atom_site_fract_y
_atom_site_fract_z
Ba1 Ba 0.0000 0.0000 0.0000
Sr1 Sr 0.3333 0.6667 0.5000
Hg1 Hg 0.3577 0.1788 0.5000
Hg2 Hg 0.5063 0.0127 0.0000
```

SmAlNO: computed XRD peak list (Cu Ka), based on a cell relaxed with PBE.
Lines closer than 0.1° are merged.

Main lines, in order of rising 2θ (2θ = 15–90°):
hkl, two_theta, I_rel
1 1 1, 26.94, 52.5
1 2 1, 33.36, 100.0
0 3 0, 33.78, 17.6
2 0 0, 34.19, 31.1
0 0 2, 35.54, 31.2
2 1 0, 36.06, 14.1
2 0 2, 50.14, 20.3
3 2 1, 60.69, 16.2
1 2 3, 62.44, 18.1
2 4 2, 70.08, 12.9

Atomic structure:
```
data_SmAlNO
_chemical_formula_sum 'Sm4 Al4 N4 O4'
_space_group_name_H-M_alt 'P c a 21'
_space_group_IT_number 29
_cell_length_a 5.2452
_cell_length_b 7.9601
_cell_length_c 5.0520
_cell_angle_alpha 90.00
_cell_angle_beta 90.00
_cell_angle_gamma 90.00
loop_
_space_group_symop_operation_xyz
'x,y,z'
'-x,-y,z+1/2'
'-x+1/2,y,z+1/2'
'x+1/2,-y,z'
loop_
_atom_site_label
_atom_site_type_symbol
_atom_site_fract_x
_atom_site_fract_y
_atom_site_fract_z
Sm1 Sm 0.0114 0.1340 0.0000
Al1 Al 0.0681 0.6109 0.9681
N1 N 0.0057 0.8313 0.9995
O1 O 0.1261 0.5484 0.6196
```

Li3Os3Au2: computed XRD peak list (Cu Ka), based on a cell relaxed with PBE.
Lines closer than 0.1° are merged.

Main lines, in order of rising 2θ (2θ = 15–90°):
hkl, two_theta, I_rel
1 0 1, 22.66, 22.7
1 0 4, 29.88, 43.4
1 1 0, 38.78, 100.0
1 1 3, 41.74, 16.0
1 0 7, 41.87, 80.0
0 2 4, 49.73, 18.0
0 2 7, 58.39, 29.1
3 0 0, 70.20, 17.9
2 1 7, 72.31, 35.8
2 2 0, 83.21, 12.1

Atomic structure:
```
data_Li3Os3Au2
_chemical_formula_sum 'Li9 Os9 Au6'
_space_group_name_H-M_alt 'R -3 m'
_space_group_IT_number 166
_space_group_name_Hall '-R 3 2"'
_cell_length_a 4.6443
_cell_length_b 4.6443
_cell_length_c 17.8945
_cell_angle_alpha 90.00
_cell_angle_beta 90.00
_cell_angle_gamma 120.00
loop_
_atom_site_label
_atom_site_type_symbol
_atom_site_fract_x
_atom_site_fract_y
_atom_site_fract_z
Li1 Li 0.0000 0.5000 0.0000
Os1 Os 0.0000 0.0000 0.0661
Os2 Os 0.0000 0.0000 0.5000
Au1 Au 0.0000 0.0000 0.2180
```

SrLaZn4: computed XRD peak list (Cu Ka), based on a cell relaxed with PBE.
Lines closer than 0.1° are merged.

Main lines, in order of rising 2θ (2θ = 15–90°):
hkl, two_theta, I_rel
1 1 2, 32.34, 37.0
1 2 1, 32.68, 100.0
0 2 2, 33.17, 41.2
0 3 1, 37.62, 22.7
2 0 0, 38.67, 37.8
1 0 3, 39.95, 54.0
2 2 2, 51.85, 22.7
2 3 1, 55.06, 14.5
1 3 4, 63.92, 19.9
3 2 1, 66.22, 12.5

Atomic structure:
```
data_SrLaZn4
_chemical_formula_sum 'Sr2 La2 Zn8'
_space_group_name_H-M_alt 'I m m 2'
_space_group_IT_number 44
_cell_length_a 4.6563
_cell_length_b 7.5416
_cell_length_c 7.7391
_cell_angle_alpha 90.00
_cell_angle_beta 90.00
_cell_angle_gamma 90.00
loop_
_space_group_symop_operation_xyz
'x,y,z'
'-x,-y,z'
'-x,y,z'
'x,-y,z'
'x+1/2,y+1/2,z+1/2'
'-x+1/2,-y+1/2,z+1/2'
'-x+1/2,y+1/2,z+1/2'
'x+1/2,-y+1/2,z+1/2'
loop_
_atom_site_label
_atom_site_type_symbol
_atom_site_fract_x
_atom_site_fract_y
_atom_site_fract_z
Sr1 Sr 0.0000 0.0000 0.0000
La1 La 0.0000 0.5000 0.0796
Zn1 Zn 0.0000 0.1887 0.3758
Zn2 Zn 0.0000 0.2988 0.7072
```

ThInCu5: computed XRD peak list (Cu Ka), based on a cell relaxed with PBE.
Lines closer than 0.1° are merged.

Main lines, in order of rising 2θ (2θ = 15–90°):
hkl, two_theta, I_rel
0 1 3, 30.87, 39.3
1 1 3, 32.74, 27.5
0 2 0, 35.41, 38.6
1 0 4, 35.59, 49.1
2 1 3, 37.85, 76.0
3 1 1, 37.96, 100.0
2 1 4, 44.35, 47.8
1 2 3, 45.38, 30.0
3 3 1, 65.23, 35.2
1 2 6, 65.37, 28.8

Atomic structure:
```
data_ThInCu5
_chemical_formula_sum 'Th4 In4 Cu20'
_space_group_name_H-M_alt 'P n m a'
_space_group_IT_number 62
_cell_length_a 8.3147
_cell_length_b 5.0702
_cell_length_c 10.5898
_cell_angle_alpha 90.00
_cell_angle_beta 90.00
_cell_angle_gamma 90.00
loop_
_space_group_symop_operation_xyz
'x,y,z'
'-x,-y,-z'
'-x+1/2,-y,z+1/2'
'x+1/2,y,-z+1/2'
'x+1/2,-y+1/2,-z+1/2'
'-x+1/2,y+1/2,z+1/2'
'-x,y+1/2,-z'
'x,-y+1/2,z'
loop_
_atom_site_label
_atom_site_type_symbol
_atom_site_fract_x
_atom_site_fract_y
_atom_site_fract_z
Th1 Th 0.2471 0.2500 0.0599
In1 In 0.1393 0.7500 0.8612
Cu1 Cu 0.0597 0.7500 0.1048
Cu2 Cu 0.0680 0.0005 0.3120
Cu3 Cu 0.0846 0.2500 0.5165
Cu4 Cu 0.1821 0.2500 0.7447
```